Calculated PXRD pattern of BaGe3Ir5 for CuKα, from a DFT-relaxed cell (GGA-PBE, Alexandria).

The 10 most intense peaks (2θ = 10–80°), sorted by position:
| 2theta | I/Imax |
| --- | --- |
| 14.08 | 59.3 |
| 15.37 | 51.5 |
| 31.01 | 51.1 |
| 31.39 | 84.0 |
| 36.77 | 100.0 |
| 41.26 | 65.3 |
| 42.82 | 48.1 |
| 43.80 | 58.0 |
| 44.53 | 77.1 |
| 47.33 | 50.2 |

Structure:
Cell: 6.7995 6.7995 12.5844 Å, 90.00 90.00 145.18°
Fractional positions:
1 Ba 0.1632 0.8368 0.7500
2 Ba 0.8368 0.1632 0.2500
3 Ge 0.1178 0.8822 0.2500
4 Ge 0.3835 0.6165 0.0443
5 Ge 0.3835 0.6165 0.4557
6 Ge 0.6165 0.3835 0.5443
7 Ge 0.6165 0.3835 0.9557
8 Ge 0.8822 0.1178 0.7500
9 Ir 0.0000 0.0000 0.0000
10 Ir 0.0000 0.0000 0.5000
11 Ir 0.1990 0.8010 0.0651
12 Ir 0.1990 0.8010 0.4349
13 Ir 0.4438 0.5562 0.6447
14 Ir 0.4438 0.5562 0.8553
15 Ir 0.5562 0.4438 0.1447
16 Ir 0.5562 0.4438 0.3553
17 Ir 0.8010 0.1990 0.5651
18 Ir 0.8010 0.1990 0.9349